(1)
Simulated powder diffraction line list of OsW for Cu Kα, 1.54184 Å, from DFT lattice parameters and positions (GGA-PBE).

Structural model:
a b c (Å): 2.8827 13.5309 4.7198
angles (deg): 90.00 90.00 90.00
Space group Amm2 (No. 38)
Symmetry-distinct sites (fractional):
Os  0.0000  0.0000  0.0000 x2
Os  0.0000  0.1739  0.3552 x4
W  0.5000  0.0000  0.4908 x2
W  0.5000  0.1573  0.8454 x4

Most intense lines, 2θ from 10° to 90°, low angle first:
2θ (°)	I (rel.)	hkl
37.1	15	1 1 1
38.1	18	0 0 2
40.0	33	0 6 0
40.5	18	0 2 2
41.8	100	1 3 1
46.9	13	0 4 2
56.4	10	0 6 2
68.3	16	1 1 3
73.9	17	1 9 1
77.6	12	2 0 2

(2)
Simulated powder diffraction line list of TbNiAu for Cu Kα, 1.54184 Å, from DFT lattice parameters and positions (GGA-PBE).

Structural model:
a b c (Å): 6.1844 5.3556 7.4633
angles (deg): 90.00 111.38 90.00
Space group P2_1/c (No. 14)
Symmetry-distinct sites (fractional):
Tb  0.1899  0.1161  0.3746 x4
Ni  0.1639  0.6207  0.5180 x4
Au  0.4087  0.5930  0.2947 x4

Most intense lines, 2θ from 10° to 90°, low angle first:
2θ (°)	I (rel.)	hkl
15.4	22	1 0 0
33.5	100	2 1 -1
34.7	82	1 0 2
35.9	87	0 2 1
36.5	56	2 1 -2
40.0	79	1 1 -3
41.2	67	1 2 1
52.0	21	1 1 -4
61.0	26	2 3 0
61.8	26	2 3 -2

(3)
Simulated powder diffraction line list of Er7PS5 for Cu Kα, 1.54184 Å, from DFT lattice parameters and positions (GGA-PBE).

Structural model:
a b c (Å): 12.6513 3.8072 23.1301
angles (deg): 90.00 92.03 90.00
Space group C2/m (No. 12)
Symmetry-distinct sites (fractional):
Er  0.0368  0.0000  0.2526 x4
Er  0.0771  0.5000  0.3927 x4
Er  0.0983  0.5000  0.1158 x4
Er  0.1339  0.0000  0.9629 x4
Er  0.1429  0.0000  0.5371 x4
Er  0.1846  0.5000  0.8224 x4
Er  0.2041  0.5000  0.6809 x4
P  0.1930  0.5000  0.2318 x4
S  0.0000  0.5000  0.0000 x2
S  0.0000  0.5000  0.5000 x2
S  0.0428  0.0000  0.8563 x4
S  0.0630  0.0000  0.6440 x4
S  0.2196  0.0000  0.4278 x4
S  0.2271  0.0000  0.0709 x4

Most intense lines, 2θ from 10° to 90°, low angle first:
2θ (°)	I (rel.)	hkl
28.6	47	4 0 1
28.8	70	1 1 -4
29.1	73	4 0 -2
30.1	93	2 0 -7
31.0	100	2 0 7
32.4	73	3 1 -2
32.8	91	3 1 2
33.5	68	3 1 -3
46.3	58	1 1 -10
47.8	61	0 2 0

(4)
Simulated powder diffraction line list of La4Sn8Pd for Cu Kα, 1.54184 Å, from DFT lattice parameters and positions (GGA-PBE).

Structural model:
a b c (Å): 4.5333 4.6242 17.6504
angles (deg): 90.00 90.00 90.00
Space group Pmm2 (No. 25)
Symmetry-distinct sites (fractional):
La  0.0000  0.0000  0.0000 x1
La  0.0000  0.5000  0.4884 x1
La  0.5000  0.0000  0.7890 x1
La  0.5000  0.5000  0.2895 x1
Sn  0.0000  0.0000  0.3278 x1
Sn  0.0000  0.0000  0.6264 x1
Sn  0.0000  0.5000  0.1422 x1
Sn  0.0000  0.5000  0.8552 x1
Sn  0.5000  0.0000  0.1478 x1
Sn  0.5000  0.0000  0.4416 x1
Sn  0.5000  0.5000  0.6251 x1
Sn  0.5000  0.5000  0.9633 x1
Pd  0.0000  0.5000  0.7063 x1

Most intense lines, 2θ from 10° to 90°, low angle first:
2θ (°)	I (rel.)	hkl
30.4	14	0 0 6
31.5	100	1 1 3
31.9	9	0 1 5
36.4	12	1 0 6
39.0	20	0 2 0
39.8	19	2 0 0
54.4	9	1 2 6
56.9	14	2 2 0
65.9	19	1 3 3
67.1	12	3 1 3